Computed powder XRD pattern
Compound: MnVSbO6
Radiation: Cu Ka
Structure: a structure optimized by DFT (GGA+U)
Neutral-atom scattering factors, no anomalous dispersion.

```
MnVSbO6
1.0
5.138 0.000 0.000
-2.569 4.449 0.000
0.000 0.000 9.371
Mn V Sb O
2 2 2 12
direct
0.000 0.000 0.000
0.000 0.000 0.500
0.333 0.667 0.250
0.667 0.333 0.750
0.333 0.667 0.750
0.667 0.333 0.250
0.014 0.368 0.136
0.014 0.646 0.364
0.354 0.368 0.364
0.354 0.986 0.136
0.368 0.014 0.636
0.368 0.354 0.864
0.632 0.646 0.136
0.632 0.986 0.364
0.646 0.014 0.864
0.646 0.632 0.636
0.986 0.354 0.636
0.986 0.632 0.864
```

Main lines, sorted by position (10 to 90 degrees two-theta):
d [Å], I (rel.)
4.686, 34.6
4.019, 26.1
3.226, 100.0
2.569, 41.4
2.253, 31.9
2.010, 23.5
1.731, 53.7
1.583, 22.1